The following is a theoretical X-ray powder pattern of PaBr5. It was derived from DFT lattice parameters and positions (PBE), using a wavelength of 1.5418 Å.
Lines closer than 0.1° are merged.

Most intense lines, 2θ from 15° to 90°, low angle first:
Position (°2θ)  intensity  (hkl)
17.9  100  1 0 1
18.1  42  2 0 0
25.6  19  2 1 1
28.8  67  1 3 0
31.2  34  0 0 2
31.5  20  3 0 1
33.9  21  1 1 2
36.6  32  4 0 0
41.1  61  4 2 0
43.0  45  1 3 2
48.9  20  4 0 2
52.6  28  4 2 2

Cell and atoms:
```
data_PaBr5
_chemical_formula_sum 'Pa2 Br10'
_symmetry_space_group_name_H-M 'I 4/m'
_symmetry_Int_Tables_number 87
_symmetry_space_group_name_Hall '-I 4'
_cell_length_a 9.8042
_cell_length_b 9.8042
_cell_length_c 5.7293
_cell_angle_alpha 90.00
_cell_angle_beta 90.00
_cell_angle_gamma 90.00
loop_
_atom_site_label
_atom_site_type_symbol
_atom_site_fract_x
_atom_site_fract_y
_atom_site_fract_z
_atom_site_occupancy
Pa1 Pa 0.0000 0.0000 0.0000 1
Br1 Br 0.0000 0.0000 0.5000 1
Br2 Br 0.0636 0.2642 0.0000 1
```